1.
# Y4Al
Calculated powder diffraction line list, Cu Kα (weighted mean of Kα1 and Kα2). Input: DFT lattice parameters and positions (GGA-PBE).

Structure:
```
10
Lattice="0.0000 5.5944 5.5944 5.5944 0.0000 5.5944 5.5944 5.5944 0.0000" Properties=species:S:1:pos:R:3 pbc="T T T"
Y 8.5993 5.3866 5.3866
Y 2.5894 2.5894 2.5894
Y 5.8021 5.8021 2.5894
Y 5.8021 2.5894 5.8021
Y 5.3866 8.5993 5.3866
Y 5.3866 5.3866 8.5993
Y 8.5993 8.5993 8.5993
Y 2.5894 5.8021 5.8021
Al 4.1958 4.1958 4.1958
Al 6.9930 6.9930 6.9930
```

Main lines, by angle (2θ = 15–90°):
2θ (°)  I_rel
27.62  100
32.00  40
34.96  18
41.96  27
45.88  32
54.39  27
58.95  13
63.91  11


2.
# SrSc2Te4
Calculated powder diffraction line list, Cu Kα (weighted mean of Kα1 and Kα2). Input: DFT lattice parameters and positions (GGA-PBE).

Structure:
```
28
Lattice="13.3072 0.0000 0.0000 0.0000 4.2589 0.0000 0.0000 0.0000 15.4740" Properties=species:S:1:pos:R:3 pbc="T T T"
Sr 3.1708 1.0647 2.6844
Sr 3.4828 3.1942 10.4214
Sr 9.8244 1.0647 5.0526
Sr 10.1364 3.1942 12.7897
Sc 0.7128 1.0647 6.0057
Sc 1.1198 1.0647 14.0214
Sc 5.5338 3.1942 6.2844
Sc 5.9408 3.1942 13.7427
Sc 7.3665 1.0647 1.7314
Sc 7.7735 1.0647 9.1896
Sc 12.1874 3.1942 1.4526
Sc 12.5944 3.1942 9.4684
Te 0.4250 3.1942 12.1602
Te 1.2335 1.0647 8.8743
Te 1.6555 3.1942 0.5000
Te 2.6881 3.1942 5.3040
Te 3.9655 1.0647 13.0410
Te 4.9982 1.0647 8.2370
Te 5.4201 3.1942 1.1372
Te 6.2286 1.0647 4.4232
Te 7.0786 3.1942 11.0509
Te 7.8871 1.0647 14.3368
Te 8.3091 3.1942 7.2370
Te 9.3417 3.1942 2.4330
Te 10.6191 1.0647 10.1700
Te 11.6518 1.0647 14.9740
Te 12.0738 3.1942 6.5998
Te 12.8822 1.0647 3.3139
```

Main lines, by angle (2θ = 15–90°):
2θ (°)  I_rel
27.15  64
27.42  35
27.98  79
29.22  49
29.64  100
34.70  26
41.64  26
42.45  41


3.
# Ho2MgTl
Calculated powder diffraction line list, Cu Kα (weighted mean of Kα1 and Kα2). Input: DFT lattice parameters and positions (GGA-PBE).

Structure:
```
4
Lattice="0.0000 3.7630 3.7630 3.7630 0.0000 3.7630 3.7630 3.7630 0.0000" Properties=species:S:1:pos:R:3 pbc="T T T"
Ho 1.8815 1.8815 1.8815
Ho 5.6445 5.6445 5.6445
Mg 0.0000 0.0000 0.0000
Tl 3.7630 3.7630 3.7630
```

Main lines, by angle (2θ = 15–90°):
2θ (°)  I_rel
20.44  22
33.68  100
39.72  13
48.38  18
53.04  6
60.24  38
70.82  12
80.76  17


4.
# LaTmO3
Calculated powder diffraction line list, Cu Kα (weighted mean of Kα1 and Kα2). Input: DFT lattice parameters and positions (GGA-PBE).

Structure:
```
20
Lattice="6.0514 0.0000 0.0000 0.0000 8.4682 0.0000 0.0000 0.0000 5.8571" Properties=species:S:1:pos:R:3 pbc="T T T"
La 0.2898 2.1170 0.0874
La 2.7359 6.3511 3.0159
La 3.3155 2.1170 2.8412
La 5.7616 6.3511 5.7697
Tm 0.0000 0.0000 2.9285
Tm 0.0000 4.2341 2.9285
Tm 3.0257 0.0000 0.0000
Tm 3.0257 4.2341 0.0000
O 0.3301 6.3511 2.2002
O 1.1813 4.7954 4.7235
O 1.1813 7.9069 4.7235
O 1.8444 0.5613 1.7950
O 1.8444 3.6728 1.7950
O 2.6957 2.1170 5.1287
O 3.3558 6.3511 0.7284
O 4.2070 4.7954 4.0621
O 4.2070 7.9069 4.0621
O 4.8701 0.5613 1.1336
O 4.8701 3.6728 1.1336
O 5.7214 2.1170 3.6569
```

Main lines, by angle (2θ = 15–90°):
2θ (°)  I_rel
29.52  23
29.94  100
30.53  23
42.71  12
42.98  21
52.63  17
53.89  23
62.20  12


5.
# Li5IO6
Calculated powder diffraction line list, Cu Kα (weighted mean of Kα1 and Kα2). Input: DFT lattice parameters and positions (GGA-PBE).

Structure:
```
36
Lattice="5.1752 0.0000 0.0000 -2.5876 4.4819 0.0000 0.0000 0.0000 14.5023" Properties=species:S:1:pos:R:3 pbc="T T T"
Li 0.8401 0.4850 0.0000
Li 0.0000 1.9919 2.4171
Li 0.0000 1.9910 9.6682
Li -0.8634 3.4864 4.8341
Li -0.8625 3.4859 12.0853
Li 0.8650 0.4994 7.2512
Li 2.5876 0.4735 9.6682
Li 1.7038 2.0042 4.8341
Li 0.8634 3.4864 0.0000
Li 0.8625 3.4859 7.2512
Li 4.3102 0.4994 12.0853
Li 2.5876 3.4831 2.4171
Li 4.3352 0.4850 4.8341
Li 2.5876 3.5118 9.6682
Li 3.4714 2.0042 0.0000
I 2.5876 0.4997 2.4171
I 1.7265 1.9911 12.0853
I 3.4487 1.9911 7.2512
O -0.1742 1.9923 6.1370
O -0.9493 3.3348 8.3653
O 1.0341 0.4927 3.5383
O 0.9437 0.6492 10.9640
O 0.1742 1.9923 13.1994
O -0.7751 3.6366 1.3029
O 2.4976 0.6420 13.1728
O 1.8048 1.8419 1.3296
O 0.9493 3.3348 10.9711
O 0.7751 3.6366 3.5312
O 2.6777 0.6420 6.1637
O 1.8948 1.9979 8.3387
O 4.1411 0.4927 1.2958
O 2.4972 3.3400 13.2065
O 3.3705 1.8419 3.5046
O 3.2804 1.9979 10.9978
O 4.2315 0.6492 8.3724
O 2.6780 3.3400 6.1299
```

Main lines, by angle (2θ = 15–90°):
2θ (°)  I_rel
18.35  69
19.81  57
20.74  100
23.33  71
27.13  45
31.74  26
35.23  30
42.94  72


6.
# MgCu3NiSe4
Calculated powder diffraction line list, Cu Kα (weighted mean of Kα1 and Kα2). Input: DFT lattice parameters and positions (GGA-PBE).

Structure:
```
9
Lattice="5.7261 0.0000 0.0000 0.0000 5.7261 0.0000 0.0000 0.0000 5.7261" Properties=species:S:1:pos:R:3 pbc="T T T"
Mg 0.0000 0.0000 0.0000
Cu 0.0000 2.8631 2.8631
Cu 2.8631 0.0000 2.8631
Cu 2.8631 2.8631 0.0000
Ni 2.8631 2.8631 2.8631
Se 1.4886 1.4886 4.2375
Se 1.4886 4.2375 1.4886
Se 4.2375 1.4886 1.4886
Se 4.2375 4.2375 4.2375
```

Main lines, by angle (2θ = 15–90°):
2θ (°)  I_rel
15.47  33
26.97  93
44.77  100
53.04  40
65.17  15
71.87  15
82.53  30
88.79  12


7.
# Ga2BiAs
Calculated powder diffraction line list, Cu Kα (weighted mean of Kα1 and Kα2). Input: DFT lattice parameters and positions (GGA-PBE).

Structure:
```
4
Lattice="4.3001 0.0000 0.0000 0.0000 4.3001 0.0000 0.0000 0.0000 6.1459" Properties=species:S:1:pos:R:3 pbc="T T T"
Ga 0.0000 2.1501 1.3873
Ga 2.1501 0.0000 4.7585
Bi 2.1501 2.1501 3.0729
As 0.0000 0.0000 0.0000
```

Main lines, by angle (2θ = 15–90°):
2θ (°)  I_rel
20.66  13
25.28  100
41.79  47
42.02  24
49.27  16
49.67  32
66.71  13
76.63  16